Record 1
Computed powder diffractogram of Ce3B2Cl3O6 for λ = 1.5418 Å (Cu Kα), from a cell relaxed with GGA-PBE.
Intensities are scaled so that the largest is 100.

Principal peaks in the range 2θ from 10° to 90°, sorted by position:
- 19.2°, I = 29, hkl 1 1 0
- 24.6°, I = 100, hkl 1 1 1
- 30.5°, I = 22, hkl 0 0 2
- 33.4°, I = 49, hkl 1 2 1
- 33.7°, I = 23, hkl 3 0 0
- 36.4°, I = 31, hkl 1 1 2
- 42.1°, I = 20, hkl 2 2 1
- 43.0°, I = 26, hkl 2 1 2
- 46.1°, I = 23, hkl 3 0 2
- 48.2°, I = 17, hkl 4 0 1

Structure:
Lattice parameters (Å, degrees): 9.223 9.223 5.853 90.00 90.00 120.00
Sites, in units of the cell vectors:
Ce 0.050 0.663 0.250
Ce 0.337 0.386 0.250
Ce 0.386 0.050 0.750
Ce 0.614 0.950 0.250
Ce 0.663 0.614 0.750
Ce 0.950 0.337 0.750
B 0.333 0.667 0.513
B 0.333 0.667 0.987
B 0.667 0.333 0.013
B 0.667 0.333 0.487
Cl 0.037 0.798 0.750
Cl 0.202 0.239 0.750
Cl 0.239 0.037 0.250
Cl 0.761 0.963 0.750
Cl 0.798 0.761 0.250
Cl 0.963 0.202 0.250
O 0.171 0.537 0.001
O 0.171 0.537 0.499
O 0.366 0.829 0.001
O 0.366 0.829 0.499
O 0.463 0.634 0.001
O 0.463 0.634 0.499
O 0.537 0.366 0.501
O 0.537 0.366 0.999
O 0.634 0.171 0.501
O 0.634 0.171 0.999
O 0.829 0.463 0.501
O 0.829 0.463 0.999

Record 2
Computed powder diffractogram of SrSeO3 for λ = 1.5418 Å (Cu Kα), from a cell relaxed with GGA-PBE.
Intensities are scaled so that the largest is 100.

Principal peaks in the range 2θ from 10° to 90°, sorted by position:
- 26.4°, I = 100, hkl 1 1 1
- 28.0°, I = 25, hkl 4 0 0
- 32.1°, I = 30, hkl 0 2 0
- 32.3°, I = 52, hkl 4 1 0
- 33.1°, I = 43, hkl 3 1 1
- 40.1°, I = 27, hkl 0 0 2
- 43.7°, I = 29, hkl 3 2 1
- 52.4°, I = 20, hkl 4 1 2
- 60.3°, I = 14, hkl 8 1 0
- 64.5°, I = 19, hkl 7 2 1

Structure:
Lattice parameters (Å, degrees): 12.763 5.581 4.498 90.00 90.00 90.00
Sites, in units of the cell vectors:
Sr 0.151 0.250 0.023
Sr 0.349 0.750 0.523
Sr 0.651 0.250 0.477
Sr 0.849 0.750 0.977
Se 0.079 0.750 0.497
Se 0.421 0.250 0.997
Se 0.579 0.750 0.003
Se 0.921 0.250 0.503
O 0.052 0.750 0.121
O 0.165 0.511 0.528
O 0.165 0.989 0.528
O 0.335 0.011 0.028
O 0.335 0.489 0.028
O 0.448 0.250 0.621
O 0.552 0.750 0.379
O 0.665 0.511 0.972
O 0.665 0.989 0.972
O 0.835 0.011 0.472
O 0.835 0.489 0.472
O 0.948 0.250 0.879

Record 3
Computed powder diffractogram of MgCu4Ag2P2S8 for λ = 1.5418 Å (Cu Kα), from a cell relaxed with GGA-PBE.
Intensities are scaled so that the largest is 100.

Principal peaks in the range 2θ from 10° to 90°, sorted by position:
- 18.7°, I = 45, hkl 1 1 0
- 24.1°, I = 51, hkl 0 0 2
- 26.9°, I = 100, hkl 0 2 1
- 29.1°, I = 77, hkl 2 0 0
- 30.6°, I = 51, hkl 1 2 -1
- 30.7°, I = 76, hkl 1 2 1
- 39.9°, I = 37, hkl 2 2 -1
- 49.1°, I = 40, hkl 0 4 0
- 52.4°, I = 40, hkl 3 2 -1
- 52.6°, I = 31, hkl 3 2 1

Structure:
Lattice parameters (Å, degrees): 6.144 7.428 7.396 90.00 90.55 90.00
Sites, in units of the cell vectors:
Mg 0.000 0.000 0.000
Cu 0.371 0.260 0.877
Cu 0.371 0.740 0.877
Cu 0.935 0.259 0.325
Cu 0.935 0.741 0.325
Ag 0.346 0.500 0.417
Ag 0.890 0.000 0.594
P 0.385 0.000 0.342
P 0.867 0.500 0.734
S 0.208 0.500 0.743
S 0.246 0.000 0.753
S 0.266 0.232 0.191
S 0.266 0.768 0.191
S 0.736 0.000 0.271
S 0.739 0.272 0.854
S 0.739 0.728 0.854
S 0.773 0.500 0.454